Entry 1:
La3Mg2Pb: computed powder diffraction line list (Cu Kα), based on a structure optimized by DFT (GGA-PBE).
No peak broadening, texture or thermal motion is included.

Most intense lines, 5 to 70 degrees two-theta, in order of falling intensity:
2θ (°)	d/Å	I_rel
31.22	2.865	100
33.56	2.670	41
54.03	1.697	21
11.03	8.022	20
58.60	1.575	17
58.49	1.578	16
17.52	5.062	15
41.08	2.197	15
48.19	1.888	15
65.12	1.432	12
68.70	1.366	10
26.86	3.319	10

```
La3Mg2Pb
1.0
2.667 -8.022 0.000
2.667 8.022 0.000
0.000 0.000 4.397
La Mg Pb
3 2 1
Direct
0.000 0.000 0.000 La
0.336 0.664 0.000 La
0.664 0.336 0.000 La
0.174 0.826 0.500 Mg
0.826 0.174 0.500 Mg
0.500 0.500 0.500 Pb
```

***

Entry 2:
LaPr2Mg2Pb2: computed powder diffraction line list (Cu Kα), based on a structure optimized by DFT (GGA-PBE).
No peak broadening, texture or thermal motion is included.

Most intense lines, 5 to 70 degrees two-theta, in order of falling intensity:
2θ (°)	d/Å	I_rel
34.96	2.566	100
30.24	2.956	90
32.78	2.732	69
61.89	1.499	36
20.99	4.232	31
20.23	4.389	30
46.88	1.938	27
59.80	1.546	26
61.33	1.512	23
48.68	1.870	23
62.71	1.482	19
23.79	3.741	13

```
LaPr2Mg2Pb2
1.0
2.566 1.482 9.235
-2.566 1.482 9.235
0.000 -2.963 9.235
La Pr Mg Pb
1 2 2 2
Direct
0.000 0.000 0.000 La
0.132 0.132 0.132 Pr
0.868 0.868 0.868 Pr
0.412 0.412 0.412 Mg
0.588 0.588 0.588 Mg
0.266 0.266 0.266 Pb
0.734 0.734 0.734 Pb
```

***

Entry 3:
La3MgPd12: computed powder diffraction line list (Cu Kα), based on a structure optimized by DFT (GGA-PBE).
No peak broadening, texture or thermal motion is included.

Most intense lines, 5 to 70 degrees two-theta, in order of falling intensity:
2θ (°)	d/Å	I_rel
37.36	2.407	100
43.10	2.099	35
63.32	1.469	18
44.03	2.056	14
62.60	1.484	11
34.36	2.610	4
59.01	1.565	3
38.30	2.350	3
5.37	16.452	2
26.75	3.333	2
21.85	4.067	1
23.80	3.739	1

```
La3MgPd12
1.0
4.197 0.000 0.000
0.000 4.197 0.000
0.000 0.000 16.452
La Mg Pd
3 1 12
Direct
0.000 0.000 0.000 La
0.000 0.000 0.261 La
0.000 0.000 0.739 La
0.000 0.000 0.500 Mg
0.000 0.500 0.129 Pd
0.000 0.500 0.388 Pd
0.000 0.500 0.612 Pd
0.000 0.500 0.871 Pd
0.500 0.000 0.129 Pd
0.500 0.000 0.388 Pd
0.500 0.000 0.612 Pd
0.500 0.000 0.871 Pd
0.500 0.500 0.000 Pd
0.500 0.500 0.257 Pd
0.500 0.500 0.500 Pd
0.500 0.500 0.743 Pd
```

***

Entry 4:
LaMgZn2Pd: computed powder diffraction line list (Cu Kα), based on a structure optimized by DFT (GGA-PBE).
No peak broadening, texture or thermal motion is included.

Most intense lines, 5 to 70 degrees two-theta, in order of falling intensity:
2θ (°)	d/Å	I_rel
34.16	2.625	100
41.81	2.160	40
30.91	2.893	40
31.40	2.849	38
29.86	2.992	36
41.98	2.152	30
42.98	2.104	27
14.18	6.244	27
46.48	1.954	22
64.29	1.449	22
61.64	1.505	18
53.35	1.717	17

```
LaMgZn2Pd
1.0
-1.954 2.152 6.244
1.954 -2.152 6.244
1.954 2.152 -6.244
La Mg Zn Pd
1 1 2 1
Direct
0.000 0.000 0.000 La
0.258 0.758 0.500 Mg
0.619 0.619 0.000 Zn
0.768 0.268 0.500 Zn
0.409 0.409 0.000 Pd
```

***

Entry 5:
LaPm2Mg4: computed powder diffraction line list (Cu Kα), based on a structure optimized by DFT (GGA-PBE).
No peak broadening, texture or thermal motion is included.

Most intense lines, 5 to 70 degrees two-theta, in order of falling intensity:
2θ (°)	d/Å	I_rel
32.43	2.760	100
33.11	2.706	95
11.10	7.970	93
24.13	3.688	53
35.02	2.562	38
58.71	1.573	36
47.03	1.932	35
57.43	1.605	21
59.14	1.562	18
41.38	2.182	13
20.35	4.364	12
53.99	1.698	12

```
LaPm2Mg4
1.0
2.706 1.562 7.970
-2.706 1.562 7.970
0.000 -3.125 7.970
La Pm Mg
1 2 4
Direct
0.000 0.000 0.000 La
0.285 0.285 0.285 Pm
0.715 0.715 0.715 Pm
0.141 0.141 0.141 Mg
0.431 0.431 0.431 Mg
0.569 0.569 0.569 Mg
0.859 0.859 0.859 Mg
```

***

Entry 6:
La6PmMg5: computed powder diffraction line list (Cu Kα), based on a structure optimized by DFT (GGA-PBE).
No peak broadening, texture or thermal motion is included.

Most intense lines, 5 to 70 degrees two-theta, in order of falling intensity:
2θ (°)	d/Å	I_rel
31.68	2.825	100
22.19	4.006	24
56.42	1.631	23
31.48	2.842	20
56.17	1.637	15
45.27	2.003	15
22.31	3.984	12
66.16	1.412	11
51.06	1.789	8
56.54	1.628	7
45.54	1.992	7
39.10	2.304	6

```
La6PmMg5
1.0
5.648 0.000 0.000
0.000 7.968 0.000
-2.820 0.000 8.525
La Pm Mg
6 1 5
Direct
0.000 0.236 0.000 La
0.000 0.764 0.000 La
0.331 0.245 0.659 La
0.331 0.755 0.659 La
0.669 0.245 0.341 La
0.669 0.755 0.341 La
0.500 0.500 0.000 Pm
0.160 0.500 0.323 Mg
0.165 0.000 0.334 Mg
0.500 0.000 0.000 Mg
0.835 0.000 0.666 Mg
0.840 0.500 0.677 Mg
```

***

Entry 7:
La6PmMg2: computed powder diffraction line list (Cu Kα), based on a structure optimized by DFT (GGA-PBE).
No peak broadening, texture or thermal motion is included.

Most intense lines, 5 to 70 degrees two-theta, in order of falling intensity:
2θ (°)	d/Å	I_rel
28.94	3.086	100
35.77	2.510	35
7.08	12.482	29
60.14	1.539	25
33.17	2.701	20
46.43	1.956	16
28.61	3.120	15
51.48	1.775	12
51.64	1.770	10
59.96	1.543	8
57.87	1.593	7
35.98	2.496	7

```
La6PmMg2
1.0
5.020 0.000 0.000
0.000 5.020 0.000
0.000 0.000 12.482
La Pm Mg
6 1 2
Direct
0.000 0.000 0.000 La
0.000 0.500 0.214 La
0.000 0.500 0.786 La
0.500 0.000 0.214 La
0.500 0.000 0.786 La
0.500 0.500 0.000 La
0.000 0.000 0.500 Pm
0.500 0.500 0.391 Mg
0.500 0.500 0.609 Mg
```

***

Entry 8:
LaPm3Mg2: computed powder diffraction line list (Cu Kα), based on a structure optimized by DFT (GGA-PBE).
No peak broadening, texture or thermal motion is included.

Most intense lines, 5 to 70 degrees two-theta, in order of falling intensity:
2θ (°)	d/Å	I_rel
31.32	2.856	100
33.27	2.693	50
58.23	1.584	34
23.36	3.809	20
47.76	1.904	18
27.16	3.283	18
24.36	3.654	14
54.47	1.685	13
55.18	1.665	12
43.72	2.071	11
27.54	3.239	10
20.57	4.318	9

```
LaPm3Mg2
1.0
3.809 0.000 0.000
0.000 3.809 0.000
0.000 0.000 12.954
La Pm Mg
1 3 2
Direct
0.000 0.000 0.000 La
0.500 0.500 0.197 Pm
0.500 0.500 0.500 Pm
0.500 0.500 0.803 Pm
0.000 0.000 0.349 Mg
0.000 0.000 0.651 Mg
```

***

Entry 9:
La5PmMg2: computed powder diffraction line list (Cu Kα), based on a structure optimized by DFT (GGA-PBE).
No peak broadening, texture or thermal motion is included.

Most intense lines, 5 to 70 degrees two-theta, in order of falling intensity:
2θ (°)	d/Å	I_rel
30.34	2.946	100
34.14	2.626	37
51.36	1.779	22
15.04	5.889	18
58.75	1.572	16
58.80	1.570	15
37.18	2.418	14
49.06	1.857	13
63.13	1.473	12
62.84	1.479	11
28.40	3.143	9
23.96	3.714	5

```
La5PmMg2
1.0
-3.712 4.836 3.716
3.712 -4.836 3.716
3.712 4.836 -3.716
La Pm Mg
5 1 2
Direct
0.000 0.000 0.000 La
0.018 0.000 0.505 La
0.018 0.514 0.018 La
0.496 0.000 0.982 La
0.496 0.514 0.495 La
0.514 0.514 0.000 Pm
0.527 0.027 0.500 Mg
0.988 0.488 0.500 Mg
```

***

Entry 10:
LaPm12Mg3: computed powder diffraction line list (Cu Kα), based on a structure optimized by DFT (GGA-PBE).
No peak broadening, texture or thermal motion is included.

Most intense lines, 5 to 70 degrees two-theta, in order of falling intensity:
2θ (°)	d/Å	I_rel
30.61	2.921	100
35.58	2.523	34
60.84	1.523	29
50.99	1.791	23
35.30	2.543	17
60.47	1.531	13
51.20	1.784	12
63.72	1.460	12
24.89	3.577	9
17.57	5.046	7
39.92	2.259	4
17.44	5.085	3

```
LaPm12Mg3
1.0
5.046 0.000 0.000
0.000 5.046 0.000
0.000 0.000 20.340
La Pm Mg
1 12 3
Direct
0.000 0.000 0.000 La
0.000 0.500 0.131 Pm
0.000 0.500 0.378 Pm
0.000 0.500 0.622 Pm
0.000 0.500 0.869 Pm
0.500 0.000 0.131 Pm
0.500 0.000 0.378 Pm
0.500 0.000 0.622 Pm
0.500 0.000 0.869 Pm
0.500 0.500 0.000 Pm
0.500 0.500 0.256 Pm
0.500 0.500 0.500 Pm
0.500 0.500 0.744 Pm
0.000 0.000 0.256 Mg
0.000 0.000 0.500 Mg
0.000 0.000 0.744 Mg
```

***

Entry 11:
La3Pm6Mg2: computed powder diffraction line list (Cu Kα), based on a structure optimized by DFT (GGA-PBE).
No peak broadening, texture or thermal motion is included.

Most intense lines, 5 to 70 degrees two-theta, in order of falling intensity:
2θ (°)	d/Å	I_rel
30.60	2.922	100
32.60	2.746	94
30.99	2.886	85
31.79	2.815	78
32.47	2.757	68
32.95	2.718	64
28.64	3.116	55
49.33	1.847	49
25.04	3.556	42
9.11	9.704	28
58.95	1.567	28
55.64	1.652	26

```
La3Pm6Mg2
1.0
6.250 0.000 0.000
2.967 6.117 0.000
0.686 -0.052 9.704
La Pm Mg
3 6 2
Direct
0.000 0.000 0.000 La
0.152 0.811 0.632 La
0.848 0.189 0.368 La
0.273 0.638 0.261 Pm
0.282 0.271 0.547 Pm
0.428 0.096 0.178 Pm
0.572 0.904 0.822 Pm
0.718 0.729 0.453 Pm
0.727 0.362 0.739 Pm
0.202 0.437 0.895 Mg
0.798 0.563 0.105 Mg
```

***

Entry 12:
La2PmMg6: computed powder diffraction line list (Cu Kα), based on a structure optimized by DFT (GGA-PBE).
No peak broadening, texture or thermal motion is included.

Most intense lines, 5 to 70 degrees two-theta, in order of falling intensity:
2θ (°)	d/Å	I_rel
32.76	2.734	100
19.16	4.632	89
33.51	2.674	63
59.44	1.555	36
47.57	1.912	35
65.22	1.431	18
38.89	2.316	15
43.10	2.099	13
52.25	1.751	13
59.91	1.544	12
57.99	1.590	9
26.32	3.386	8

```
La2PmMg6
1.0
9.263 0.000 0.000
-4.632 8.022 0.000
0.000 0.000 3.386
La Pm Mg
2 1 6
Direct
0.333 0.667 0.000 La
0.667 0.333 0.000 La
0.000 0.000 0.000 Pm
0.000 0.331 0.500 Mg
0.000 0.669 0.500 Mg
0.331 0.000 0.500 Mg
0.331 0.331 0.500 Mg
0.669 0.000 0.500 Mg
0.669 0.669 0.500 Mg
```

***

Entry 13:
La2Pm5Mg: computed powder diffraction line list (Cu Kα), based on a structure optimized by DFT (GGA-PBE).
No peak broadening, texture or thermal motion is included.

Most intense lines, 5 to 70 degrees two-theta, in order of falling intensity:
2θ (°)	d/Å	I_rel
31.59	2.832	100
31.12	2.874	74
31.94	2.802	65
28.79	3.101	55
30.63	2.919	47
27.77	3.213	43
28.45	3.137	36
57.37	1.606	35
37.57	2.394	31
28.24	3.160	31
24.93	3.571	30
30.29	2.950	29

```
La2Pm5Mg
1.0
3.299 -9.090 0.000
3.299 9.090 0.000
-3.129 0.000 9.085
La Pm Mg
4 10 2
Direct
0.000 0.000 0.000 La
0.000 0.000 0.500 La
0.000 0.500 0.000 La
0.500 0.000 0.500 La
0.064 0.426 0.612 Pm
0.287 0.399 0.862 Pm
0.386 0.614 0.250 Pm
0.399 0.287 0.362 Pm
0.426 0.064 0.112 Pm
0.574 0.936 0.888 Pm
0.601 0.713 0.638 Pm
0.614 0.386 0.750 Pm
0.713 0.601 0.138 Pm
0.936 0.574 0.388 Pm
0.147 0.853 0.750 Mg
0.853 0.147 0.250 Mg
```

***

Entry 14:
La2Pm8Mg: computed powder diffraction line list (Cu Kα), based on a structure optimized by DFT (GGA-PBE).
No peak broadening, texture or thermal motion is included.

Most intense lines, 5 to 70 degrees two-theta, in order of falling intensity:
2θ (°)	d/Å	I_rel
30.11	2.968	100
50.11	1.820	24
59.79	1.547	21
34.67	2.587	17
34.99	2.564	17
35.06	2.559	17
59.34	1.557	15
59.89	1.544	7
62.55	1.485	6
62.64	1.483	6
50.32	1.813	6
50.43	1.810	6

```
La2Pm8Mg
1.0
9.242 -2.587 0.000
9.242 2.587 0.000
-2.152 0.000 7.811
La Pm Mg
2 8 1
Direct
0.225 0.225 0.136 La
0.775 0.775 0.864 La
0.044 0.044 0.224 Pm
0.136 0.136 0.677 Pm
0.320 0.320 0.592 Pm
0.411 0.411 0.053 Pm
0.589 0.589 0.947 Pm
0.680 0.680 0.408 Pm
0.864 0.864 0.323 Pm
0.956 0.956 0.776 Pm
0.500 0.500 0.500 Mg
```